The following is a simulated X-ray powder pattern of Tl2F3. It was derived from the PBE geometry in the Materials Project, using Cu Kα (λ = 1.5418 Å).

Atomic structure:
a b c (Å): 4.7229 4.7229 4.7229
angles (deg): 90.00 90.00 90.00
Positions (direct):
Tl 0.0000 0.0000 0.0000
Tl 0.5000 0.5000 0.5000
F 0.0000 0.0000 0.5000
F 0.0000 0.5000 0.0000
F 0.5000 0.0000 0.0000

The 8 most intense peaks (2θ from 10° to 80°), by intensity:
- d 3.340, intensity 1000
- d 1.928, intensity 446
- d 2.361, intensity 291
- d 1.262, intensity 232
- d 1.494, intensity 200
- d 1.670, intensity 198
- d 1.363, intensity 66
- d 2.727, intensity 10

***

The following is a simulated X-ray powder pattern of TlF. It was derived from the PBE geometry in the Materials Project, using Cu Kα (λ = 1.5418 Å).

Atomic structure:
a b c (Å): 6.3864 5.8174 5.2374
angles (deg): 90.00 90.00 90.00
Positions (direct):
Tl 0.2422 0.0022 0.2500
Tl 0.2422 0.4978 0.7500
Tl 0.7578 0.5022 0.2500
Tl 0.7578 0.9978 0.7500
F 0.1426 0.5764 0.2500
F 0.1426 0.9236 0.7500
F 0.8574 0.0764 0.2500
F 0.8574 0.4236 0.7500

The 10 most intense peaks (2θ from 10° to 80°), by intensity:
- d 3.324, intensity 1000
- d 3.193, intensity 273
- d 1.868, intensity 246
- d 2.909, intensity 232
- d 2.619, intensity 189
- d 1.749, intensity 187
- d 2.150, intensity 182
- d 1.662, intensity 165
- d 2.025, intensity 155
- d 1.946, intensity 147

***

The following is a simulated X-ray powder pattern of TlF. It was derived from the PBE geometry in the Materials Project, using Cu Kα (λ = 1.5418 Å).

Atomic structure:
a b c (Å): 3.8426 3.8426 6.3171
angles (deg): 90.00 90.00 90.00
Positions (direct):
Tl 0.2500 0.2500 0.2466
Tl 0.7500 0.7500 0.7534
F 0.2500 0.2500 0.8533
F 0.7500 0.7500 0.1467

The 10 most intense peaks (2θ from 10° to 80°), by intensity:
- d 3.283, intensity 1000
- d 2.717, intensity 441
- d 2.060, intensity 349
- d 1.658, intensity 296
- d 3.159, intensity 285
- d 1.847, intensity 254
- d 1.331, intensity 174
- d 1.641, intensity 172
- d 1.921, intensity 161
- d 1.365, intensity 78

***

The following is a simulated X-ray powder pattern of TlF. It was derived from the PBE geometry in the Materials Project, using Cu Kα (λ = 1.5418 Å).

Atomic structure:
a b c (Å): 6.3162 3.8507 3.8507
angles (deg): 89.38 90.00 90.00
Positions (direct):
Tl 0.2465 0.2500 0.7500
Tl 0.7535 0.7500 0.2500
F 0.1474 0.7276 0.2276
F 0.8526 0.2276 0.7276

The 10 most intense peaks (2θ from 10° to 80°), by intensity:
- d 3.288, intensity 1000
- d 3.158, intensity 284
- d 1.847, intensity 252
- d 2.737, intensity 222
- d 2.708, intensity 217
- d 2.069, intensity 176
- d 2.056, intensity 173
- d 1.644, intensity 172
- d 1.925, intensity 160
- d 1.668, intensity 154